Starting from a crystal structure in Alexandria, relaxed with GGA-PBE, the X-ray diffraction stick pattern of PrHoAlSn was computed for Cu Kα (weighted mean of Kα1 and Kα2).
Kinematic intensities with the Lorentz-polarization factor, no thermal factor.

The 6 most intense peaks (10° ≤ 2θ ≤ 80°), most intense first:
2θ (°), d (Å), I_rel, h k l
33.64, 2.664, 100, 2 2 0
60.15, 1.538, 38, 4 2 2
48.31, 1.884, 18, 4 0 0
23.61, 3.768, 15, 2 0 0
70.72, 1.332, 12, 4 4 0
20.41, 4.351, 10, 1 1 1

Crystal structure
a = 7.5359 Å, b = 7.5359 Å, c = 7.5359 Å
α = 90.00°, β = 90.00°, γ = 90.00°
Space group F-43m (No. 216)
Asymmetric unit:
Pr 0.0000 0.0000 0.0000
Ho 0.0000 0.0000 0.5000
Al 0.2500 0.2500 0.2500
Sn 0.2500 0.2500 0.7500